This entry pairs a crystal structure of MnH12N2Cl4O2 with its theoretical PXRD pattern. Radiation: a wavelength of 1.5418 Å. Structure: a crystal structure in Alexandria, relaxed with PBE+U.
Peak positions follow from Bragg's law for the DFT cell and can differ from measured ones.

Atomic structure:
```
data_MnH12N2Cl4O2
_cell_length_a 7.5391
_cell_length_b 7.5391
_cell_length_c 8.4433
_cell_angle_alpha 90.00
_cell_angle_beta 90.00
_cell_angle_gamma 90.00
_space_group_name_H-M_alt 'I -4 2 m'
_space_group_IT_number 121
_space_group_name_Hall 'I -4 2'
loop_
_atom_site_label
_atom_site_type_symbol
_atom_site_fract_x
_atom_site_fract_y
_atom_site_fract_z
Mn1 Mn 0.0000 0.0000 0.0000
H1 H 0.0741 0.0741 0.6678
H2 H 0.0736 0.4147 0.1787
N1 N 0.0000 0.5000 0.2500
Cl1 Cl 0.2413 0.2413 0.0216
O1 O 0.0000 0.0000 0.2629
```

Largest 10 diffraction maxima, by angle, 15° ≤ 2θ ≤ 90°:
2θ = 15.76°, rel. 658; 2θ = 16.63°, rel. 269; 2θ = 21.04°, rel. 364; 2θ = 26.94°, rel. 255; 2θ = 31.83°, rel. 745; 2θ = 33.62°, rel. 1000; 2θ = 40.00°, rel. 285; 2θ = 42.84°, rel. 178; 2θ = 48.29°, rel. 277; 2θ = 55.53°, rel. 296